Entry 1:
Starting from the PBE geometry in Alexandria, the powder diffraction line list of LiCuPt2 was simulated for copper Kα.
Kinematic intensities with the Lorentz-polarization factor, no thermal factor.

Peak list (10 most intense, 5 to 70 degrees two-theta, by angle)
- 2θ = 20.18°, I = 970, (0 1 1)
- 2θ = 23.50°, I = 286, (1 0 1)
- 2θ = 32.84°, I = 250, (1 2 1)
- 2θ = 38.29°, I = 194, (0 3 1)
- 2θ = 39.15°, I = 366, (2 1 1)
- 2θ = 40.53°, I = 1000, (2 2 0)
- 2θ = 41.03°, I = 967, (0 2 2)
- 2θ = 46.17°, I = 345, (0 4 0)
- 2θ = 48.07°, I = 614, (2 0 2)
- 2θ = 68.86°, I = 418, (2 4 2)

Cell: 5.399 7.864 5.309 Å, 90.00 90.00 90.00°
Sites, in units of the cell vectors:
Li 0.250 0.250 0.250
Li 0.250 0.750 0.750
Li 0.750 0.250 0.250
Li 0.750 0.750 0.750
Cu 0.000 0.000 0.000
Cu 0.000 0.500 0.000
Cu 0.500 0.000 0.500
Cu 0.500 0.500 0.500
Pt 0.000 0.000 0.500
Pt 0.000 0.500 0.500
Pt 0.250 0.250 0.750
Pt 0.250 0.750 0.250
Pt 0.500 0.000 0.000
Pt 0.500 0.500 0.000
Pt 0.750 0.250 0.750
Pt 0.750 0.750 0.250

=====

Entry 2:
Starting from the PBE geometry in Alexandria, the powder diffraction line list of Li4Cu3Pt was simulated for copper Kα.
Kinematic intensities with the Lorentz-polarization factor, no thermal factor.

Peak list (10 most intense, 5 to 70 degrees two-theta, by angle)
- 2θ = 16.71°, I = 164, (0 1 0)
- 2θ = 20.50°, I = 272, (0 1 1)
- 2θ = 20.66°, I = 1000, (1 0 1)
- 2θ = 26.68°, I = 251, (1 1 1)
- 2θ = 39.92°, I = 610, (1 2 1)
- 2θ = 41.69°, I = 460, (0 2 2)
- 2θ = 42.03°, I = 452, (2 0 2)
- 2θ = 48.52°, I = 148, (0 0 4)
- 2θ = 48.82°, I = 288, (2 2 0)
- 2θ = 53.26°, I = 180, (1 2 3)

Cell: 5.246 5.306 7.506 Å, 90.00 90.00 90.00°
Sites, in units of the cell vectors:
Li 0.000 0.000 0.000
Li 0.000 0.500 0.000
Li 0.250 0.239 0.250
Li 0.250 0.761 0.750
Li 0.500 0.000 0.500
Li 0.500 0.500 0.500
Li 0.750 0.239 0.250
Li 0.750 0.761 0.750
Cu 0.000 0.500 0.500
Cu 0.250 0.260 0.750
Cu 0.250 0.740 0.250
Cu 0.500 0.500 0.000
Cu 0.750 0.260 0.750
Cu 0.750 0.740 0.250
Pt 0.000 0.000 0.500
Pt 0.500 0.000 0.000

=====

Entry 3:
Starting from the PBE geometry in Alexandria, the powder diffraction line list of LiCu5Pt was simulated for copper Kα.
Kinematic intensities with the Lorentz-polarization factor, no thermal factor.

Peak list (10 most intense, 5 to 70 degrees two-theta, by angle)
- 2θ = 17.45°, I = 155, (0 0 1)
- 2θ = 21.04°, I = 1000, (1 1 0)
- 2θ = 27.46°, I = 255, (1 1 1)
- 2θ = 40.35°, I = 189, (1 3 0)
- 2θ = 41.47°, I = 350, (1 1 2)
- 2θ = 42.83°, I = 713, (2 2 0)
- 2θ = 43.08°, I = 701, (0 2 2)
- 2θ = 48.88°, I = 240, (0 4 0)
- 2θ = 50.59°, I = 431, (2 0 2)
- 2θ = 54.68°, I = 155, (1 3 2)

Cell: 5.124 7.453 5.083 Å, 90.00 90.00 90.00°
Sites, in units of the cell vectors:
Li 0.000 0.000 0.000
Li 0.500 0.500 0.000
Cu 0.000 0.500 0.000
Cu 0.250 0.250 0.250
Cu 0.250 0.250 0.750
Cu 0.250 0.750 0.250
Cu 0.250 0.750 0.750
Cu 0.500 0.000 0.000
Cu 0.750 0.250 0.250
Cu 0.750 0.250 0.750
Cu 0.750 0.750 0.250
Cu 0.750 0.750 0.750
Pt 0.000 0.500 0.500
Pt 0.500 0.000 0.500

=====

Entry 4:
Starting from the PBE geometry in Alexandria, the powder diffraction line list of Li6CuPt was simulated for copper Kα.
Kinematic intensities with the Lorentz-polarization factor, no thermal factor.

Peak list (10 most intense, 5 to 70 degrees two-theta, by angle)
- 2θ = 15.69°, I = 361, (0 1 0)
- 2θ = 19.04°, I = 324, (0 0 1)
- 2θ = 24.77°, I = 972, (0 1 1)
- 2θ = 25.41°, I = 1000, (1 1 0)
- 2θ = 27.65°, I = 731, (1 0 1)
- 2θ = 31.69°, I = 286, (0 2 0)
- 2θ = 31.95°, I = 353, (1 1 1)
- 2θ = 42.55°, I = 616, (1 2 1)
- 2θ = 46.81°, I = 275, (1 1 2)
- 2θ = 47.93°, I = 331, (2 1 1)

Cell: 4.470 5.647 4.661 Å, 90.00 90.00 90.00°
Sites, in units of the cell vectors:
Li 0.000 0.000 0.000
Li 0.000 0.244 0.465
Li 0.000 0.756 0.465
Li 0.500 0.240 0.837
Li 0.500 0.500 0.319
Li 0.500 0.760 0.837
Cu 0.000 0.500 0.955
Pt 0.500 0.000 0.342

=====

Entry 5:
Starting from the PBE geometry in Alexandria, the powder diffraction line list of LiCuPt was simulated for copper Kα.
Kinematic intensities with the Lorentz-polarization factor, no thermal factor.

Peak list (10 most intense, 5 to 70 degrees two-theta, by angle)
- 2θ = 23.75°, I = 1000, (1 1 0)
- 2θ = 25.91°, I = 343, (1 1 -1)
- 2θ = 30.14°, I = 595, (0 2 1)
- 2θ = 40.28°, I = 258, (1 1 -2)
- 2θ = 40.68°, I = 501, (0 0 2)
- 2θ = 41.42°, I = 945, (1 3 -1)
- 2θ = 42.60°, I = 440, (2 0 0)
- 2θ = 47.72°, I = 316, (2 0 -2)
- 2θ = 48.64°, I = 640, (1 3 1)
- 2θ = 69.16°, I = 204, (1 3 -3)

Cell: 4.537 7.973 4.741 Å, 90.00 110.67 90.00°
Sites, in units of the cell vectors:
Li 0.000 0.000 0.000
Li 0.000 0.335 0.000
Li 0.500 0.500 0.000
Li 0.500 0.835 0.000
Cu 0.000 0.166 0.500
Cu 0.000 0.827 0.500
Cu 0.500 0.327 0.500
Cu 0.500 0.666 0.500
Pt 0.000 0.495 0.500
Pt 0.000 0.672 0.000
Pt 0.500 0.172 0.000
Pt 0.500 0.995 0.500

=====

Entry 6:
Starting from the PBE geometry in Alexandria, the powder diffraction line list of LiCuPt2 was simulated for copper Kα.
Kinematic intensities with the Lorentz-polarization factor, no thermal factor.

Peak list (10 most intense, 5 to 70 degrees two-theta, by angle)
- 2θ = 17.96°, I = 415, (0 0 1)
- 2θ = 28.08°, I = 691, (0 1 1)
- 2θ = 41.06°, I = 1000, (1 1 0)
- 2θ = 42.60°, I = 604, (0 1 2)
- 2θ = 43.41°, I = 258, (1 0 1)
- 2θ = 43.59°, I = 576, (0 2 0)
- 2θ = 55.86°, I = 77, (0 0 3)
- 2θ = 58.07°, I = 85, (1 0 -3)
- 2θ = 63.21°, I = 171, (1 2 1)
- 2θ = 63.34°, I = 172, (1 2 -2)

Cell: 2.685 4.152 5.112 Å, 90.00 105.02 90.00°
Sites, in units of the cell vectors:
Li 0.000 0.000 0.000
Cu 0.862 0.500 0.736
Pt 0.256 0.000 0.518
Pt 0.602 0.500 0.210